For TiCo3P4O16, a structure optimized by DFT (GGA+U) gives the computed X-ray powder pattern in this record (a wavelength of 1.5418 Å).
Peak positions follow from Bragg's law for the DFT cell and can differ from measured ones.

Structure:
```
TiCo3P4O16
1.0
4.908 0.000 0.000
0.000 5.934 0.000
-0.047 0.000 9.834
Ti Co P O
1 3 4 16
direct
0.000 0.000 0.000
0.411 0.000 0.506
0.502 0.500 0.049
0.919 0.500 0.544
0.026 0.500 0.866
0.357 0.500 0.374
0.574 0.000 0.180
0.854 0.000 0.674
0.104 0.500 0.714
0.164 0.000 0.650
0.168 0.292 0.941
0.168 0.708 0.941
0.210 0.296 0.445
0.210 0.704 0.445
0.271 0.000 0.138
0.310 0.500 0.222
0.602 0.000 0.334
0.667 0.500 0.403
0.705 0.204 0.607
0.705 0.796 0.607
0.721 0.500 0.884
0.729 0.198 0.108
0.729 0.802 0.108
0.812 0.000 0.830
```

Peak list (8 most intense, 10 to 90 degrees two-theta, by intensity)
| two_theta | I_rel | (hkl) |
| --- | --- | --- |
| 25.2 | 100 | 1 1 1 |
| 20.2 | 94 | 1 0 1 |
| 30.1 | 82 | 0 2 0 |
| 18.0 | 82 | 0 0 2 |
| 36.2 | 55 | 1 1 -3 |
| 36.3 | 50 | 1 1 3 |
| 36.6 | 35 | 1 2 1 |
| 23.5 | 33 | 0 1 2 |